Calculated powder diffraction line list
Compound: GaCuSnSe4
Radiation: Cu Ka
Structure: a GGA-PBE-relaxed structure
No peak broadening, texture or thermal motion is included.

Cell and atoms:
Unit cell a=6.9355 b=6.9355 c=6.9355 alpha=131.66 beta=131.66 gamma=70.76
Fractional positions:
Ga 0.0000 0.0000 0.0000
Cu 0.5000 0.5000 0.0000
Sn 0.7500 0.2500 0.5000
Se 0.1477 0.1094 0.5043
Se 0.3565 0.8523 0.9616
Se 0.6051 0.6435 0.4957
Se 0.8906 0.3949 0.0384

Peak list (12 most intense, 10° ≤ 2θ ≤ 90°, low angle first)
5.075 Å, rel. 15; 3.274 Å, rel. 100; 3.141 Å, rel. 12; 2.478 Å, rel. 14; 2.008 Å, rel. 24; 2.004 Å, rel. 48; 1.712 Å, rel. 28; 1.706 Å, rel. 15; 1.420 Å, rel. 7; 1.300 Å, rel. 11; 1.158 Å, rel. 14; 1.156 Å, rel. 8